This entry pairs a crystal structure of Ba2FeI2O2 with its calculated PXRD pattern. Radiation: copper Kα. Structure: a GGA+U-relaxed structure.
Lines closer than 0.1° are merged.

Largest 10 diffraction maxima, in order of rising 2θ, 2θ from 15° to 90°:
d_spacing  I_rel  h k l
3.693  39  1 0 3
3.055  95  1 1 0
3.036  100  1 0 5
2.651  27  1 1 4
2.491  71  1 0 7
2.160  44  2 0 0
1.760  40  2 1 5
1.632  38  2 1 7
1.537  24  1 1 12
1.366  25  3 1 0

Atomic structure:
a = 4.321 Å, b = 4.321 Å, c = 21.336 Å
α = 90.00°, β = 90.00°, γ = 90.00°
Space group I4/mmm (No. 139)
Unique sites:
Ba  0.000  0.000  0.083 (multiplicity 4)
Fe  0.000  0.000  0.500 (multiplicity 2)
I  0.000  0.000  0.336 (multiplicity 4)
O  0.000  0.500  0.000 (multiplicity 4)